SrZnSe4O12: theoretical PXRD pattern (Cu Kα), based on a GGA-PBE-relaxed structure.
Intensities are scaled so that the largest is 100.

Atomic structure:
Cell lengths 7.372, 6.019, 6.019 Å; angles 72.74, 90.00, 90.00 degrees
Element x y z (fractional)
Sr: 0.000 0.000 0.000
Zn: 0.500 0.524 0.524
Se: 0.250 0.000 0.507
Se: 0.250 0.507 0.000
Se: 0.750 0.000 0.507
Se: 0.750 0.507 0.000
O: 0.000 0.093 0.547
O: 0.000 0.547 0.093
O: 0.197 0.343 0.832
O: 0.197 0.832 0.343
O: 0.256 0.827 0.827
O: 0.309 0.329 0.329
O: 0.500 0.477 0.886
O: 0.500 0.886 0.477
O: 0.691 0.329 0.329
O: 0.744 0.827 0.827
O: 0.803 0.343 0.832
O: 0.803 0.832 0.343

Largest 6 diffraction maxima, most intense first, 10° ≤ 2θ ≤ 90°:
two_theta  Rel. int.
30.5  100
31.1  99
19.6  86
35.0  60
51.9  49
18.3  44